Entry 1:
This entry pairs a crystal structure of Nd3ZnPt4 with its calculated XRD peak list. Radiation: Cu Kα X-rays. Structure: a cell relaxed with PBE.
Neutral-atom scattering factors, no anomalous dispersion.

The 10 most intense peaks (5 to 70 degrees two-theta), low angle first:
h k l  2theta  d [Å]  Rel. int.
1 0 1  22.21  4.002  31
0 0 4  24.23  3.673  23
1 1 2  28.38  3.145  41
1 1 4  35.54  2.526  18
1 2 1  36.11  2.488  56
1 0 5  37.46  2.401  100
1 2 3  40.20  2.244  36
2 0 0  43.52  2.080  30
2 2 4  58.72  1.572  26
2 3 3  65.80  1.419  16

Cell and atoms:
Cell: 4.159 6.351 14.691 Å, 90.00 90.00 90.00°
Space group Immm (No. 71)
Inequivalent atoms, fractional coordinates:
Nd1 0.000 0.000 0.000
Nd2 0.000 0.500 0.191
Zn1 0.000 0.000 0.500
Pt1 0.000 0.289 0.380

***

Entry 2:
This entry pairs a crystal structure of Nd5ZnPt2 with its calculated XRD peak list. Radiation: Cu Kα X-rays. Structure: a cell relaxed with PBE.
Neutral-atom scattering factors, no anomalous dispersion.

The 10 most intense peaks (5 to 70 degrees two-theta), low angle first:
h k l  2theta  d [Å]  Rel. int.
0 0 2  13.22  6.695  26
2 1 3  31.82  2.812  100
2 0 4  34.77  2.580  16
3 1 0  35.04  2.561  45
0 0 6  40.42  2.232  9
2 1 5  41.96  2.153  17
4 1 3  50.78  1.798  10
3 1 6  54.54  1.683  10
5 2 3  65.50  1.425  16
3 1 8  66.77  1.401  13

Cell and atoms:
Cell: 8.098 8.098 13.391 Å, 90.00 90.00 90.00°
Space group I4/mcm (No. 140)
Inequivalent atoms, fractional coordinates:
Nd1 0.000 0.000 0.000
Nd2 0.162 0.338 0.141
Zn1 0.000 0.000 0.250
Pt1 0.132 0.368 0.500